Structure and theoretical X-ray diffraction stick pattern of AgCl2F6 (a cell relaxed with GGA-PBE; Cu Kα X-rays).

Principal peaks in the range 2θ = 10–90°, sorted by position:
- 2θ 11.96, d 7.402, I 100.0
- 2θ 18.11, d 4.899, I 16.0
- 2θ 21.43, d 4.147, I 43.7
- 2θ 21.53, d 4.127, I 38.8
- 2θ 24.43, d 3.644, I 51.6
- 2θ 28.42, d 3.140, I 33.5
- 2θ 28.60, d 3.121, I 15.8
- 2θ 35.08, d 2.558, I 29.7
- 2θ 35.22, d 2.548, I 30.7
- 2θ 53.27, d 1.720, I 12.8

Crystal structure
```
AgCl2F6
1.0
5.276 -5.647 0.000
5.276 5.647 0.000
-2.417 0.000 6.045
Ag Cl F
2 4 12
direct
0.075 0.925 0.750
0.925 0.075 0.250
0.179 0.544 0.985
0.456 0.821 0.515
0.544 0.179 0.485
0.821 0.456 0.015
0.066 0.164 0.702
0.068 0.663 0.753
0.164 0.066 0.202
0.270 0.429 0.162
0.337 0.932 0.747
0.429 0.270 0.662
0.571 0.730 0.338
0.663 0.068 0.253
0.730 0.571 0.838
0.836 0.934 0.798
0.932 0.337 0.247
0.934 0.836 0.298
```